Record 1
Computed powder diffractogram
Compound: CeCo2P2Ir
Radiation: CuKα
Structure: a crystal structure in Alexandria, relaxed with GGA-PBE
No peak broadening, texture or thermal motion is included.

Largest 10 diffraction maxima, by intensity, 10 to 90 degrees two-theta:
2θ = 27.57°, I 1000
2θ = 40.21°, I 980
2θ = 57.55°, I 675
2θ = 39.38°, I 669
2θ = 19.40°, I 615
2θ = 56.92°, I 223
2θ = 85.27°, I 219
2θ = 64.39°, I 181
2θ = 71.97°, I 171
2θ = 44.26°, I 156

Structural model:
Cell lengths 4.576, 4.576, 5.146 Å; angles 90.00, 90.00, 90.00 degrees
Atoms (fractional coordinates):
Ce (0.000, 0.000, 0.000)
Co (0.500, 0.500, 0.258)
Co (0.500, 0.500, 0.742)
P (0.000, 0.500, 0.500)
P (0.500, 0.000, 0.500)
Ir (0.000, 0.000, 0.500)

Record 2
Computed powder diffractogram
Compound: La3Ce7Co4
Radiation: CuKα
Structure: a crystal structure in Alexandria, relaxed with GGA-PBE
No peak broadening, texture or thermal motion is included.

Largest 10 diffraction maxima, by intensity, 10 to 90 degrees two-theta:
2θ = 35.04°, I 1000
2θ = 32.95°, I 926
2θ = 32.36°, I 779
2θ = 32.46°, I 759
2θ = 31.99°, I 457
2θ = 50.33°, I 406
2θ = 31.20°, I 258
2θ = 60.67°, I 226
2θ = 60.83°, I 225
2θ = 37.47°, I 209

Structural model:
Cell lengths 3.626, 9.408, 10.908 Å; angles 67.45, 80.61, 78.91 degrees
Atoms (fractional coordinates):
La (0.000, 0.000, 0.000)
La (0.321, 0.681, 0.677)
La (0.679, 0.319, 0.323)
Ce (0.000, 0.500, 0.500)
Ce (0.160, 0.081, 0.598)
Ce (0.314, 0.319, 0.045)
Ce (0.491, 0.275, 0.749)
Ce (0.509, 0.725, 0.251)
Ce (0.686, 0.681, 0.955)
Ce (0.840, 0.919, 0.402)
Co (0.128, 0.593, 0.146)
Co (0.338, 0.080, 0.246)
Co (0.662, 0.920, 0.754)
Co (0.872, 0.407, 0.854)